For CsTm2CuTeSe3, a cell relaxed with GGA-PBE gives the simulated PXRD pattern in this record (a wavelength of 1.5418 Å).

Cell and atoms:
Unit cell a=7.6383 b=7.6383 c=14.7460 alpha=90.00 beta=90.00 gamma=148.07
Atoms (fractional coordinates):
Cs 0.1236 0.8764 0.7500
Cs 0.8764 0.1236 0.2500
Tm 0.3669 0.6331 0.5557
Tm 0.3669 0.6331 0.9443
Tm 0.6331 0.3669 0.0557
Tm 0.6331 0.3669 0.4443
Cu 0.1702 0.8298 0.2500
Cu 0.8298 0.1702 0.7500
Te 0.4302 0.5698 0.7500
Te 0.5698 0.4302 0.2500
Se 0.0000 0.0000 0.0000
Se 0.0000 0.0000 0.5000
Se 0.2531 0.7469 0.1021
Se 0.2531 0.7469 0.3979
Se 0.7469 0.2531 0.6021
Se 0.7469 0.2531 0.8979

Top 12 peaks for 5 to 70 degrees two-theta, by angle:
two_theta	Rel. int.
13.5	27
21.8	34
24.2	35
27.1	20
28.6	75
30.5	100
32.7	23
37.8	32
41.2	23
41.8	71
43.1	40
48.8	20

---

For Cs2ZrCu2Se4, a cell relaxed with GGA-PBE gives the simulated PXRD pattern in this record (a wavelength of 1.5418 Å).

Cell and atoms:
Unit cell a=7.8854 b=7.8854 c=6.0134 alpha=90.00 beta=90.00 gamma=135.20
Atoms (fractional coordinates):
Cs 0.0000 0.5000 0.2404
Cs 0.5000 0.0000 0.7596
Zr 0.0000 0.0000 0.5000
Cu 0.0000 0.0000 0.0000
Cu 0.5000 0.5000 0.5000
Se 0.1572 0.3466 0.7511
Se 0.3466 0.1572 0.2489
Se 0.6534 0.8428 0.2489
Se 0.8428 0.6534 0.7511

Top 12 peaks for 5 to 70 degrees two-theta, by angle:
two_theta	Rel. int.
24.4	7
27.9	100
29.7	15
32.2	29
37.4	6
42.5	31
48.2	40
51.6	35
61.2	9
61.7	10
67.7	6
69.0	7

---

For CsTb2Cu3Te5, a cell relaxed with GGA-PBE gives the simulated PXRD pattern in this record (a wavelength of 1.5418 Å).

Cell and atoms:
Unit cell a=8.0818 b=8.0818 c=18.4380 alpha=90.00 beta=90.00 gamma=148.49
Atoms (fractional coordinates):
Cs 0.0566 0.9434 0.7500
Cs 0.9434 0.0566 0.2500
Tb 0.1921 0.8079 0.0898
Tb 0.1921 0.8079 0.4102
Tb 0.8079 0.1921 0.5898
Tb 0.8079 0.1921 0.9102
Cu 0.3434 0.6566 0.7500
Cu 0.4150 0.5850 0.0249
Cu 0.4150 0.5850 0.4751
Cu 0.5850 0.4150 0.5249
Cu 0.5850 0.4150 0.9751
Cu 0.6566 0.3434 0.2500
Te 0.1634 0.8366 0.5730
Te 0.1634 0.8366 0.9270
Te 0.2428 0.7572 0.2500
Te 0.4430 0.5570 0.6156
Te 0.4430 0.5570 0.8844
Te 0.5570 0.4430 0.1156
Te 0.5570 0.4430 0.3844
Te 0.7572 0.2428 0.7500
Te 0.8366 0.1634 0.0730
Te 0.8366 0.1634 0.4270

Top 12 peaks for 5 to 70 degrees two-theta, by angle:
two_theta	Rel. int.
26.6	61
27.1	100
28.3	58
29.1	65
33.1	56
35.4	34
37.7	28
39.8	34
41.1	55
43.7	53
51.2	27
57.0	24

---

For Cs2Cu2TcTe4, a cell relaxed with GGA-PBE gives the simulated PXRD pattern in this record (a wavelength of 1.5418 Å).

Cell and atoms:
Unit cell a=8.2662 b=8.2662 c=6.2238 alpha=90.00 beta=90.00 gamma=135.81
Atoms (fractional coordinates):
Cs 0.0000 0.5000 0.2493
Cs 0.5000 0.0000 0.7507
Cu 0.0000 0.0000 0.0000
Cu 0.5000 0.5000 0.5000
Tc 0.5000 0.5000 0.0000
Te 0.1548 0.3449 0.7499
Te 0.3449 0.1548 0.2501
Te 0.6551 0.8452 0.2501
Te 0.8452 0.6551 0.7499

Top 12 peaks for 5 to 70 degrees two-theta, by angle:
two_theta	Rel. int.
11.6	8
26.7	100
28.7	20
31.0	12
37.2	9
41.0	28
46.0	36
49.7	36
55.1	5
58.1	9
59.4	9
66.3	8